Entry 1:
# Si2SbC7Cl2
Theoretical X-ray powder pattern, Cu Kα (λ = 1.5418 Å). Input: a cell relaxed with PBE.

Principal peaks in the range 15° ≤ 2θ ≤ 90°, by intensity:
d 5.787, I 100
d 3.405, I 48
d 5.148, I 27
d 5.675, I 24
d 3.947, I 23
d 4.692, I 20
d 3.004, I 20
d 3.781, I 19

```
48
Lattice="6.171 0.000 0.000 0.000 22.701 0.000 -4.454 0.000 6.738" Properties=species:S:1:pos:R:3 pbc="T T T"
Si 0.736 1.560 0.965
Si 1.054 4.374 0.490
Si -1.173 6.976 3.860
Si -1.491 9.791 4.334
Si 3.208 12.911 2.404
Si 2.890 15.725 2.879
Si 0.663 18.327 6.248
Si 0.981 21.141 5.773
Sb -1.538 14.635 5.142
Sb 0.689 19.417 1.773
Sb 1.028 3.284 4.966
Sb 3.255 8.066 1.596
C -0.098 3.013 0.240
C -2.325 8.338 3.609
C -1.668 5.323 4.661
C 0.559 6.027 1.292
C -2.267 4.675 5.735
C -0.040 6.676 2.366
C 0.630 0.011 1.982
C -1.596 11.340 5.351
C -1.174 4.083 5.068
C 1.053 7.268 1.699
C -1.463 12.594 5.965
C 0.764 21.458 2.596
C 0.769 1.208 2.754
C -1.458 10.142 6.123
C 3.175 12.559 0.616
C 0.948 21.493 3.985
C 0.953 1.243 4.143
C 3.180 10.107 0.774
C 0.664 15.434 5.039
C 2.891 18.618 1.670
C 1.087 22.691 4.756
C 3.314 11.361 1.387
C 1.757 16.025 4.372
C 3.984 18.027 1.003
C 1.158 16.674 5.447
C 3.385 17.378 2.077
C 4.042 14.364 3.129
C 1.815 19.688 6.498
Cl 1.355 15.488 1.463
Cl -0.872 18.564 4.832
Cl -1.911 1.426 6.671
Cl 0.316 9.925 3.302
Cl 1.401 12.776 3.437
Cl 3.628 21.275 0.067
Cl 2.589 4.137 1.906
Cl 0.362 7.213 5.275
```

---

Entry 2:
# CaMn4Al8
Theoretical X-ray powder pattern, Cu Kα (λ = 1.5418 Å). Input: a cell relaxed with PBE.

Principal peaks in the range 15° ≤ 2θ ≤ 90°, by intensity:
d 2.231, I 100
d 1.988, I 92
d 4.385, I 85
d 2.193, I 84
d 2.202, I 45
d 1.961, I 45
d 1.564, I 28
d 1.273, I 26

```
13
Lattice="-4.385 4.385 2.592 4.385 -4.385 2.592 4.385 4.385 -2.592" Properties=species:S:1:pos:R:3 pbc="T T T"
Ca 0.000 0.000 0.000
Mn 2.193 2.193 -1.296
Mn 2.193 -2.193 1.296
Mn -2.193 2.193 1.296
Mn 2.193 2.193 1.296
Al 2.924 0.000 0.000
Al 5.847 0.000 0.000
Al 4.385 2.382 0.000
Al 0.000 2.924 0.000
Al 2.382 4.385 0.000
Al 2.003 0.000 2.592
Al 0.000 5.847 0.000
Al 0.000 2.003 2.592
```

---

Entry 3:
# BaTlCuO4
Theoretical X-ray powder pattern, Cu Kα (λ = 1.5418 Å). Input: a cell relaxed with PBE.

Principal peaks in the range 15° ≤ 2θ ≤ 90°, by intensity:
d 3.216, I 100
d 2.640, I 79
d 1.866, I 56
d 2.880, I 50
d 1.614, I 28
d 1.180, I 25
d 1.524, I 24
d 1.566, I 17

```
14
Lattice="-1.866 1.866 15.845 1.866 -1.866 15.845 1.866 1.866 -15.845" Properties=species:S:1:pos:R:3 pbc="T T T"
Ba 0.000 0.000 3.703
Ba 0.000 0.000 27.988
Tl 0.000 0.000 9.127
Tl 0.000 0.000 22.564
Cu 0.000 0.000 14.462
Cu 0.000 0.000 17.228
O 1.866 0.000 1.769
O 0.000 0.000 7.018
O 0.000 0.000 11.148
O 1.866 0.000 14.076
O 0.000 1.866 1.769
O 0.000 0.000 20.543
O 0.000 0.000 24.673
O 0.000 1.866 14.076
```

---

Entry 4:
# Tl3Au
Theoretical X-ray powder pattern, Cu Kα (λ = 1.5418 Å). Input: a cell relaxed with PBE.

Principal peaks in the range 15° ≤ 2θ ≤ 90°, by intensity:
d 2.723, I 100
d 2.486, I 78
d 1.628, I 44
d 3.045, I 33
d 1.689, I 25
d 1.329, I 23
d 1.131, I 21
d 1.522, I 18

```
8
Lattice="6.090 0.000 0.000 0.000 6.090 0.000 0.000 0.000 6.090" Properties=species:S:1:pos:R:3 pbc="T T T"
Tl 0.000 1.522 3.045
Tl 0.000 4.567 3.045
Tl 1.522 3.045 0.000
Tl 3.045 0.000 1.522
Tl 3.045 0.000 4.567
Tl 4.567 3.045 0.000
Au 0.000 0.000 0.000
Au 3.045 3.045 3.045
```

---

Entry 5:
# Nd5Cu5O13
Theoretical X-ray powder pattern, Cu Kα (λ = 1.5418 Å). Input: a cell relaxed with PBE.

Principal peaks in the range 15° ≤ 2θ ≤ 90°, by intensity:
d 2.696, I 100
d 2.680, I 42
d 1.917, I 21
d 1.551, I 21
d 1.525, I 20
d 2.351, I 18
d 2.197, I 17
d 2.361, I 16

```
23
Lattice="8.476 0.000 0.000 0.000 8.476 0.000 0.000 0.000 3.835" Properties=species:S:1:pos:R:3 pbc="T T T"
Nd 0.000 0.000 0.000
Nd 2.007 5.532 0.000
Nd 2.945 2.007 0.000
Nd 5.532 6.470 0.000
Nd 6.470 2.945 0.000
Cu 0.559 2.881 1.917
Cu 2.881 7.918 1.917
Cu 4.238 4.238 1.917
Cu 5.595 0.559 1.917
Cu 7.918 5.595 1.917
O 0.557 2.714 0.000
O 0.953 6.774 1.917
O 1.702 0.953 1.917
O 2.195 3.882 1.917
O 2.714 7.919 0.000
O 3.882 6.281 1.917
O 4.238 4.238 0.000
O 4.594 2.195 1.917
O 5.762 0.557 0.000
O 6.281 4.594 1.917
O 6.774 7.524 1.917
O 7.524 1.702 1.917
O 7.919 5.762 0.000
```

---

Entry 6:
# Dy3Sb5O12
Theoretical X-ray powder pattern, Cu Kα (λ = 1.5418 Å). Input: a cell relaxed with PBE.

Principal peaks in the range 15° ≤ 2θ ≤ 90°, by intensity:
d 3.139, I 100
d 1.922, I 42
d 1.639, I 38
d 2.719, I 35
d 1.247, I 13
d 1.216, I 11
d 1.110, I 9
d 1.570, I 9

```
40
Lattice="-5.438 5.438 5.438 5.438 -5.438 5.438 5.438 5.438 -5.438" Properties=species:S:1:pos:R:3 pbc="T T T"
Dy 5.438 2.719 0.000
Dy 5.438 0.000 2.719
Dy 2.719 5.438 0.000
Dy 2.719 0.000 5.438
Dy 0.000 5.438 2.719
Dy 0.000 2.719 5.438
Sb 2.799 2.799 -2.799
Sb 3.087 0.000 0.000
Sb 2.799 -2.799 2.799
Sb 7.788 0.000 0.000
Sb 0.000 3.087 0.000
Sb 0.000 0.000 3.087
Sb 2.639 2.639 2.639
Sb -2.799 2.799 2.799
Sb 0.000 7.788 0.000
Sb 0.000 0.000 7.788
O 3.702 1.511 -1.511
O 3.702 -1.511 1.511
O 6.555 1.097 -1.097
O 6.555 -1.097 1.097
O 1.511 3.702 -1.511
O 1.511 -1.511 3.702
O 4.320 1.097 1.097
O 7.173 1.511 1.511
O 4.341 4.341 -1.118
O 4.341 -1.118 4.341
O -1.511 3.702 1.511
O -1.511 1.511 3.702
O 1.097 4.320 1.097
O 1.097 1.097 4.320
O 1.097 6.555 -1.097
O 1.097 -1.097 6.555
O 3.926 3.926 1.735
O 3.926 1.735 3.926
O -1.097 6.555 1.097
O -1.097 1.097 6.555
O 1.735 3.926 3.926
O -1.118 4.341 4.341
O 1.511 7.173 1.511
O 1.511 1.511 7.173
```

---

Entry 7:
# LiSbP4O12
Theoretical X-ray powder pattern, Cu Kα (λ = 1.5418 Å). Input: a cell relaxed with PBE.

Principal peaks in the range 15° ≤ 2θ ≤ 90°, by intensity:
d 3.173, I 100
d 4.800, I 59
d 3.748, I 58
d 3.115, I 34
d 4.656, I 32
d 2.541, I 22
d 3.278, I 22
d 2.226, I 21

```
36
Lattice="6.295 -4.336 0.000 6.295 4.336 0.000 -5.493 0.000 9.312" Properties=species:S:1:pos:R:3 pbc="T T T"
Li 2.175 4.290 6.984
Li 4.921 -4.290 2.328
Sb 3.147 2.168 0.000
Sb 0.401 -2.168 4.656
P 3.301 2.043 4.860
P 1.049 2.043 9.107
P 2.229 0.059 2.893
P -0.517 -0.059 7.549
P 7.613 0.059 1.763
P 4.867 -0.059 6.419
P 6.048 -2.043 0.204
P 3.795 -2.043 4.452
O 2.621 3.182 5.494
O -1.873 0.626 7.648
O 1.729 3.182 8.473
O 5.321 2.247 0.691
O 2.606 0.622 1.558
O 2.204 1.197 4.024
O 0.874 -0.626 2.992
O 4.522 2.247 3.965
O 0.658 0.950 7.957
O -0.141 -0.622 6.214
O 3.692 0.950 6.011
O 7.639 1.197 0.632
O -0.543 -1.197 8.680
O 3.404 -0.950 3.301
O 7.237 0.622 3.097
O 6.439 -0.950 1.355
O 2.575 -2.247 5.347
O 6.222 0.626 6.320
O 4.893 -1.197 5.288
O 4.491 -0.622 7.753
O 1.775 -2.247 8.621
O 5.368 -3.182 0.838
O 8.969 -0.626 1.664
O 4.475 -3.182 3.817
```